1.
# ReSiIr2
Simulated X-ray diffraction stick pattern, Cu Kα X-rays. Input: DFT lattice parameters and positions (GGA-PBE).
Neutral-atom scattering factors, no anomalous dispersion.

Structural model:
Cell lengths 2.7947, 2.7947, 25.0459 Å; angles 90.00, 90.00, 120.00 degrees
Space group R-3m (No. 166, hexagonal axes)
One atom of each set of equivalent atoms:
Re (0.0000, 0.0000, 0.0000) (multiplicity 3)
Si (0.0000, 0.0000, 0.5000) (multiplicity 3)
Ir (0.0000, 0.0000, 0.2439) (multiplicity 6)

Peak list (6 most intense, 2θ = 5–70°, low angle first)
10.6°, I 26
32.2°, I 14
39.9°, I 100
43.4°, I 23
47.5°, I 59
67.0°, I 22

=====

2.
# LiIn2Ga2Pt5
Simulated X-ray diffraction stick pattern, Cu Kα X-rays. Input: DFT lattice parameters and positions (GGA-PBE).
Neutral-atom scattering factors, no anomalous dispersion.

Structural model:
Cell lengths 9.344, 9.344, 3.861 Å; angles 90.00, 90.00, 90.00 degrees
Space group P4/mbm (No. 127)
One atom of each set of equivalent atoms:
Li (0.000, 0.000, 0.000) (multiplicity 2)
In (0.172, 0.328, 0.000) (multiplicity 4)
Ga (0.129, 0.629, 0.000) (multiplicity 4)
Pt (0.000, 0.500, 0.500) (multiplicity 2)
Pt (0.076, 0.804, 0.500) (multiplicity 8)

Peak list (6 most intense, 2θ = 5–70°, low angle first)
23.0°, I 35
38.4°, I 100
39.8°, I 51
42.0°, I 49
47.1°, I 30
63.3°, I 26

=====

3.
# UCoAsH
Simulated X-ray diffraction stick pattern, Cu Kα X-rays. Input: DFT lattice parameters and positions (GGA-PBE).
Neutral-atom scattering factors, no anomalous dispersion.

Structural model:
Cell lengths 4.0521, 4.0521, 3.7960 Å; angles 90.00, 90.00, 120.00 degrees
Space group P3m1 (No. 156)
One atom of each set of equivalent atoms:
U (0.0000, 0.0000, 0.0000) (multiplicity 1)
Co (0.6667, 0.3333, 0.4048) (multiplicity 1)
As (0.3333, 0.6667, 0.5127) (multiplicity 1)
H (0.6667, 0.3333, 0.9684) (multiplicity 1)

Peak list (6 most intense, 2θ = 5–70°, low angle first)
25.4°, I 31
34.8°, I 100
44.7°, I 39
55.0°, I 12
57.9°, I 24
67.6°, I 19